(1)
Diffraction record for PmGe3Mo. The PXRD pattern is theoretical, not measured: it uses a cell relaxed with PBE and Cu Kα (λ = 1.5418 Å).

Top 6 peaks for 2θ = 10–90°, by intensity:
Position (°2θ), I_rel
35.70, 100
35.97, 58
39.21, 52
33.99, 49
38.43, 40
25.03, 39

Crystal structure
Lattice parameters (Å, degrees): 8.646 8.646 5.513 91.00 91.00 100.28
Element x y z (fractional)
Pm 0.079 0.251 0.010
Pm 0.251 0.079 0.510
Pm 0.749 0.921 0.490
Pm 0.921 0.749 0.990
Ge 0.051 0.749 0.499
Ge 0.173 0.591 0.161
Ge 0.245 0.421 0.563
Ge 0.251 0.949 0.001
Ge 0.409 0.827 0.339
Ge 0.421 0.245 0.063
Ge 0.579 0.755 0.937
Ge 0.591 0.173 0.661
Ge 0.749 0.051 0.999
Ge 0.755 0.579 0.437
Ge 0.827 0.409 0.839
Ge 0.949 0.251 0.501
Mo 0.307 0.693 0.750
Mo 0.460 0.540 0.250
Mo 0.540 0.460 0.750
Mo 0.693 0.307 0.250

=====

(2)
Diffraction record for Y6HoCo3. The PXRD pattern is theoretical, not measured: it uses a cell relaxed with PBE and Cu Kα (λ = 1.5418 Å).

Top 6 peaks for 2θ = 10–90°, by intensity:
Position (°2θ), I_rel
32.64, 100
31.11, 24
31.97, 22
40.73, 19
18.93, 13
50.36, 13

Crystal structure
Lattice parameters (Å, degrees): 8.418 8.418 7.247 90.00 90.00 93.84
Element x y z (fractional)
Y 0.001 0.501 0.514
Y 0.024 0.976 0.500
Y 0.283 0.284 0.255
Y 0.284 0.283 0.755
Y 0.333 0.667 0.758
Y 0.499 0.999 0.514
Y 0.501 0.001 0.014
Y 0.667 0.333 0.258
Y 0.716 0.717 0.255
Y 0.717 0.716 0.755
Y 0.976 0.024 0.000
Y 0.999 0.499 0.014
Ho 0.320 0.680 0.258
Ho 0.680 0.320 0.758
Co 0.032 0.754 0.775
Co 0.246 0.968 0.775
Co 0.499 0.501 0.508
Co 0.501 0.499 0.008
Co 0.754 0.032 0.275
Co 0.968 0.246 0.275

=====

(3)
Diffraction record for RbTmCuCl6. The PXRD pattern is theoretical, not measured: it uses a cell relaxed with PBE and Cu Kα (λ = 1.5418 Å).

Top 6 peaks for 2θ = 10–90°, by intensity:
Position (°2θ), I_rel
12.10, 100
18.42, 83
20.28, 75
20.09, 67
37.98, 61
33.39, 43

Crystal structure
Lattice parameters (Å, degrees): 6.516 6.518 7.357 93.24 93.29 114.05
Element x y z (fractional)
Rb 0.000 0.000 0.000
Tm 0.348 0.651 0.500
Cu 0.694 0.304 0.500
Cl 0.024 0.340 0.664
Cl 0.042 0.606 0.254
Cl 0.395 0.958 0.746
Cl 0.431 0.343 0.299
Cl 0.657 0.568 0.701
Cl 0.659 0.976 0.336

=====

(4)
Diffraction record for Mg3Pd4. The PXRD pattern is theoretical, not measured: it uses a cell relaxed with PBE and Cu Kα (λ = 1.5418 Å).

Top 6 peaks for 2θ = 10–90°, by intensity:
Position (°2θ), I_rel
41.23, 100
28.83, 65
75.22, 24
59.73, 16
51.13, 13
67.73, 11

Crystal structure
Lattice parameters (Å, degrees): 7.598 7.598 7.598 33.46 33.46 33.46
Element x y z (fractional)
Mg 0.000 0.000 0.000
Mg 0.247 0.247 0.247
Mg 0.753 0.753 0.753
Pd 0.126 0.126 0.126
Pd 0.377 0.377 0.377
Pd 0.623 0.623 0.623
Pd 0.874 0.874 0.874

=====

(5)
Diffraction record for Sr2LiSiO4F. The PXRD pattern is theoretical, not measured: it uses a cell relaxed with PBE and Cu Kα (λ = 1.5418 Å).

Top 6 peaks for 2θ = 10–90°, by intensity:
Position (°2θ), I_rel
33.43, 100
22.62, 90
32.08, 88
46.19, 63
40.62, 59
32.73, 49

Crystal structure
Lattice parameters (Å, degrees): 6.638 5.472 7.003 90.00 112.15 90.00
Element x y z (fractional)
Sr 0.138 0.250 0.399
Sr 0.339 0.750 0.124
Sr 0.661 0.250 0.876
Sr 0.862 0.750 0.601
Li 0.350 0.750 0.618
Li 0.650 0.250 0.382
Si 0.154 0.250 0.835
Si 0.846 0.750 0.165
O 0.095 0.750 0.342
O 0.159 0.250 0.070
O 0.277 0.008 0.790
O 0.277 0.492 0.790
O 0.723 0.508 0.210
O 0.723 0.992 0.210
O 0.841 0.750 0.930
O 0.905 0.250 0.658
F 0.500 0.000 0.500
F 0.500 0.500 0.500

=====

(6)
Diffraction record for Tb4PmSc3. The PXRD pattern is theoretical, not measured: it uses a cell relaxed with PBE and Cu Kα (λ = 1.5418 Å).

Top 6 peaks for 2θ = 10–90°, by intensity:
Position (°2θ), I_rel
33.54, 100
33.67, 47
32.58, 35
58.78, 29
29.21, 23
62.70, 21

Crystal structure
Lattice parameters (Å, degrees): 10.993 7.073 6.085 90.00 90.00 90.00
Element x y z (fractional)
Tb 0.000 0.131 0.000
Tb 0.000 0.867 0.492
Tb 0.245 0.868 0.839
Tb 0.255 0.132 0.339
Tb 0.500 0.133 0.992
Tb 0.500 0.869 0.500
Tb 0.745 0.132 0.339
Tb 0.755 0.868 0.839
Pm 0.000 0.382 0.504
Pm 0.500 0.618 0.004
Sc 0.000 0.620 0.005
Sc 0.249 0.381 0.833
Sc 0.251 0.619 0.333
Sc 0.500 0.380 0.505
Sc 0.749 0.619 0.333
Sc 0.751 0.381 0.833

=====

(7)
Diffraction record for Pr6GaHg. The PXRD pattern is theoretical, not measured: it uses a cell relaxed with PBE and Cu Kα (λ = 1.5418 Å).

Top 6 peaks for 2θ = 10–90°, by intensity:
Position (°2θ), I_rel
30.95, 100
33.69, 45
58.55, 33
48.38, 16
53.25, 15
39.99, 9

Crystal structure
Lattice parameters (Å, degrees): 9.772 9.772 9.772 148.40 148.40 45.29
Element x y z (fractional)
Pr 0.106 0.606 0.500
Pr 0.249 0.249 0.000
Pr 0.394 0.894 0.500
Pr 0.606 0.106 0.500
Pr 0.751 0.751 0.000
Pr 0.894 0.394 0.500
Ga 0.000 0.000 0.000
Hg 0.500 0.500 0.000

=====

(8)
Diffraction record for CsK2BO3. The PXRD pattern is theoretical, not measured: it uses a cell relaxed with PBE and Cu Kα (λ = 1.5418 Å).

Top 6 peaks for 2θ = 10–90°, by intensity:
Position (°2θ), I_rel
31.04, 100
32.00, 79
18.20, 64
28.70, 52
36.87, 45
52.37, 39

Crystal structure
Lattice parameters (Å, degrees): 8.439 8.439 8.439 43.26 43.26 43.26
Element x y z (fractional)
Cs 0.204 0.204 0.204
Cs 0.796 0.796 0.796
K 0.000 0.500 0.500
K 0.500 0.000 0.500
K 0.500 0.500 0.000
K 0.500 0.500 0.500
B 0.076 0.076 0.076
B 0.924 0.924 0.924
O 0.183 0.790 0.790
O 0.210 0.210 0.817
O 0.210 0.817 0.210
O 0.790 0.183 0.790
O 0.790 0.790 0.183
O 0.817 0.210 0.210